# 1
# CeGe2Os
Theoretical X-ray diffraction stick pattern, CuKα. Input: a structure optimized by DFT (GGA-PBE).

Cell and atoms:
a b c (Å): 4.187 6.717 5.479
angles (deg): 90.00 90.00 90.00
Space group Pmmn (No. 59, origin choice 2)
Asymmetric unit:
Ce1 0.250 0.250 0.133 [2 per cell]
Ge1 0.250 0.026 0.671 [4 per cell]
Os1 0.250 0.750 0.350 [2 per cell]

The 10 most intense peaks (15 to 90 degrees two-theta), in order of rising 2θ:
2θ = 26.54°, 3.358 Å, rel. 147
2θ = 29.97°, 2.981 Å, rel. 480
2θ = 35.39°, 2.537 Å, rel. 477
2θ = 38.07°, 2.363 Å, rel. 1000
2θ = 43.22°, 2.093 Å, rel. 275
2θ = 49.04°, 1.857 Å, rel. 188
2θ = 56.67°, 1.624 Å, rel. 155
2θ = 57.04°, 1.615 Å, rel. 243
2θ = 70.19°, 1.341 Å, rel. 163
2θ = 75.83°, 1.255 Å, rel. 133

***

# 2
# Ce4GeOs2
Theoretical X-ray diffraction stick pattern, CuKα. Input: a structure optimized by DFT (GGA-PBE).

Cell and atoms:
a b c (Å): 12.637 12.674 8.309
angles (deg): 90.00 90.00 90.00
Space group Fdd2 (No. 43)
Asymmetric unit:
Ce1 0.059 0.376 0.000 [16 per cell]
Ce2 0.124 0.059 0.142 [16 per cell]
Ge1 0.000 0.000 0.821 [8 per cell]
Os1 0.056 0.306 0.696 [16 per cell]

The 10 most intense peaks (15 to 90 degrees two-theta), in order of rising 2θ:
2θ = 31.62°, 2.830 Å, rel. 1000
2θ = 31.87°, 2.808 Å, rel. 923
2θ = 33.88°, 2.646 Å, rel. 653
2θ = 37.83°, 2.378 Å, rel. 582
2θ = 38.49°, 2.339 Å, rel. 378
2θ = 39.57°, 2.278 Å, rel. 496
2θ = 46.08°, 1.970 Å, rel. 194
2θ = 49.30°, 1.848 Å, rel. 265
2θ = 54.82°, 1.675 Å, rel. 267
2θ = 64.30°, 1.449 Å, rel. 186

***

# 3
# Ce6GeOs3
Theoretical X-ray diffraction stick pattern, CuKα. Input: a structure optimized by DFT (GGA-PBE).

Cell and atoms:
a b c (Å): 11.236 4.134 11.708
angles (deg): 90.00 107.11 90.00
Space group P2_1/m (No. 11)
Asymmetric unit:
Ce1 0.033 0.250 0.394 [2 per cell]
Ce2 0.107 0.250 0.944 [2 per cell]
Ce3 0.226 0.750 0.263 [2 per cell]
Ce4 0.287 0.750 0.761 [2 per cell]
Ce5 0.375 0.250 0.543 [2 per cell]
Ce6 0.413 0.750 0.094 [2 per cell]
Ge1 0.447 0.250 0.302 [2 per cell]
Os1 0.047 0.250 0.167 [2 per cell]
Os2 0.190 0.750 0.500 [2 per cell]
Os3 0.344 0.250 0.917 [2 per cell]

The 10 most intense peaks (15 to 90 degrees two-theta), in order of rising 2θ:
2θ = 23.80°, 3.739 Å, rel. 504
2θ = 25.20°, 3.534 Å, rel. 776
2θ = 29.76°, 3.002 Å, rel. 1000
2θ = 31.41°, 2.848 Å, rel. 905
2θ = 32.30°, 2.771 Å, rel. 646
2θ = 33.10°, 2.706 Å, rel. 972
2θ = 40.05°, 2.251 Å, rel. 513
2θ = 41.41°, 2.180 Å, rel. 798
2θ = 41.84°, 2.159 Å, rel. 556
2θ = 43.80°, 2.067 Å, rel. 925

***

# 4
# Ce3Ge2Os2
Theoretical X-ray diffraction stick pattern, CuKα. Input: a structure optimized by DFT (GGA-PBE).

Cell and atoms:
a b c (Å): 5.585 8.004 13.429
angles (deg): 90.00 90.00 90.00
Space group Pbcm (No. 57)
Asymmetric unit:
Ce1 0.122 0.237 0.250 [4 per cell]
Ce2 0.343 0.600 0.096 [8 per cell]
Ge1 0.148 0.250 0.000 [4 per cell]
Ge2 0.378 0.610 0.750 [4 per cell]
Os1 0.139 0.538 0.592 [8 per cell]

The 10 most intense peaks (15 to 90 degrees two-theta), in order of rising 2θ:
2θ = 33.08°, 2.708 Å, rel. 337
2θ = 34.05°, 2.633 Å, rel. 654
2θ = 34.67°, 2.587 Å, rel. 284
2θ = 34.88°, 2.572 Å, rel. 486
2θ = 37.35°, 2.407 Å, rel. 605
2θ = 38.54°, 2.336 Å, rel. 209
2θ = 39.67°, 2.272 Å, rel. 1000
2θ = 40.30°, 2.238 Å, rel. 363
2θ = 42.64°, 2.120 Å, rel. 254
2θ = 56.11°, 1.639 Å, rel. 220

***

# 5
# CePuGeOs
Theoretical X-ray diffraction stick pattern, CuKα. Input: a structure optimized by DFT (GGA-PBE).

Cell and atoms:
a b c (Å): 4.062 4.165 10.573
angles (deg): 90.00 90.00 90.00
Space group Amm2 (No. 38)
Asymmetric unit:
Ce1 0.000 0.000 0.000 [2 per cell]
Pu1 0.500 0.000 0.284 [2 per cell]
Ge1 0.000 0.000 0.709 [2 per cell]
Os1 0.500 0.000 0.553 [2 per cell]

The 10 most intense peaks (15 to 90 degrees two-theta), in order of rising 2θ:
2θ = 31.92°, 2.804 Å, rel. 1000
2θ = 33.30°, 2.690 Å, rel. 347
2θ = 33.91°, 2.643 Å, rel. 271
2θ = 40.20°, 2.243 Å, rel. 548
2θ = 40.73°, 2.216 Å, rel. 263
2θ = 43.45°, 2.083 Å, rel. 246
2θ = 44.61°, 2.031 Å, rel. 228
2θ = 56.79°, 1.621 Å, rel. 156
2θ = 61.07°, 1.517 Å, rel. 162
2θ = 64.04°, 1.454 Å, rel. 157

***

# 6
# Ce2Ge6OsRu
Theoretical X-ray diffraction stick pattern, CuKα. Input: a structure optimized by DFT (GGA-PBE).

Cell and atoms:
a b c (Å): 7.4440 7.4440 27.5366
angles (deg): 90.00 90.00 120.00
Space group R-3m (No. 166, hexagonal axes)
Asymmetric unit:
Ce1 0.0000 0.0000 0.1403 [6 per cell]
Ce2 0.0000 0.0000 0.2917 [6 per cell]
Ge1 0.0128 0.5064 0.1167 [18 per cell]
Ge2 0.0384 0.5192 0.7218 [18 per cell]
Os1 0.0000 0.0000 0.3885 [6 per cell]
Ru1 0.0000 0.0000 0.0000 [3 per cell]
Ru2 0.0000 0.0000 0.5000 [3 per cell]

The 10 most intense peaks (15 to 90 degrees two-theta), in order of rising 2θ:
2θ = 23.91°, 3.722 Å, rel. 1000
2θ = 32.18°, 2.782 Å, rel. 340
2θ = 36.02°, 2.493 Å, rel. 534
2θ = 38.07°, 2.364 Å, rel. 294
2θ = 38.25°, 2.353 Å, rel. 427
2θ = 39.25°, 2.296 Å, rel. 191
2θ = 42.05°, 2.149 Å, rel. 204
2θ = 43.22°, 2.093 Å, rel. 229
2θ = 48.94°, 1.861 Å, rel. 756
2θ = 57.66°, 1.599 Å, rel. 204

***

# 7
# Ce3GeP2
Theoretical X-ray diffraction stick pattern, CuKα. Input: a structure optimized by DFT (GGA-PBE).

Cell and atoms:
a b c (Å): 5.855 12.402 8.286
angles (deg): 90.00 90.00 90.00
Space group P2_1/c (No. 14)
Asymmetric unit:
Ce1 0.249 0.249 0.375 [4 per cell]
Ce2 0.250 0.586 0.869 [4 per cell]
Ce3 0.250 0.587 0.381 [4 per cell]
Ge1 0.250 0.081 0.626 [4 per cell]
P1 0.250 0.084 0.123 [4 per cell]
P2 0.251 0.748 0.125 [4 per cell]

The 10 most intense peaks (15 to 90 degrees two-theta), in order of rising 2θ:
2θ = 26.37°, 3.380 Å, rel. 486
2θ = 30.54°, 2.927 Å, rel. 1000
2θ = 43.73°, 2.070 Å, rel. 612
2θ = 43.80°, 2.067 Å, rel. 122
2θ = 51.80°, 1.765 Å, rel. 235
2θ = 54.29°, 1.690 Å, rel. 256
2θ = 63.58°, 1.463 Å, rel. 118
2θ = 72.15°, 1.309 Å, rel. 270
2θ = 80.32°, 1.195 Å, rel. 161
2θ = 80.44°, 1.194 Å, rel. 80

***

# 8
# Ce2GeP3Pt4
Theoretical X-ray diffraction stick pattern, CuKα. Input: a structure optimized by DFT (GGA-PBE).

Cell and atoms:
a b c (Å): 4.327 4.327 9.651
angles (deg): 90.00 90.00 90.00
Space group P-4m2 (No. 115)
Asymmetric unit:
Ce1 0.000 0.500 0.250 [2 per cell]
Ge1 0.000 0.000 0.500 [1 per cell]
P1 0.000 0.500 0.870 [2 per cell]
P2 0.500 0.500 0.500 [1 per cell]
Pt1 0.000 0.000 0.000 [1 per cell]
Pt2 0.000 0.500 0.626 [2 per cell]
Pt3 0.500 0.500 0.000 [1 per cell]

The 10 most intense peaks (15 to 90 degrees two-theta), in order of rising 2θ:
2θ = 27.71°, 3.220 Å, rel. 315
2θ = 30.65°, 2.917 Å, rel. 369
2θ = 34.73°, 2.583 Å, rel. 1000
2θ = 41.75°, 2.164 Å, rel. 467
2θ = 48.02°, 1.895 Å, rel. 186
2θ = 50.85°, 1.796 Å, rel. 174
2θ = 51.87°, 1.763 Å, rel. 125
2θ = 55.41°, 1.658 Å, rel. 191
2θ = 60.52°, 1.530 Å, rel. 157
2θ = 71.70°, 1.316 Å, rel. 199

***

# 9
# CeTc2Ge2P
Theoretical X-ray diffraction stick pattern, CuKα. Input: a structure optimized by DFT (GGA-PBE).

Cell and atoms:
a b c (Å): 4.464 4.464 5.571
angles (deg): 90.00 90.00 90.00
Space group P4/mmm (No. 123)
Asymmetric unit:
Ce1 0.000 0.000 0.000 [1 per cell]
Tc1 0.000 0.500 0.500 [2 per cell]
Ge1 0.500 0.500 0.224 [2 per cell]
P1 0.000 0.000 0.500 [1 per cell]

The 10 most intense peaks (15 to 90 degrees two-theta), in order of rising 2θ:
2θ = 32.13°, 2.786 Å, rel. 122
2θ = 32.60°, 2.746 Å, rel. 1000
2θ = 38.08°, 2.363 Å, rel. 569
2θ = 40.41°, 2.232 Å, rel. 670
2θ = 43.32°, 2.089 Å, rel. 123
2θ = 52.54°, 1.742 Å, rel. 118
2θ = 56.73°, 1.623 Å, rel. 350
2θ = 58.48°, 1.578 Å, rel. 222
2θ = 68.58°, 1.368 Å, rel. 227
2θ = 81.45°, 1.182 Å, rel. 149

***

# 10
# CeGe2Pd7Pb2
Theoretical X-ray diffraction stick pattern, CuKα. Input: a structure optimized by DFT (GGA-PBE).

Cell and atoms:
a b c (Å): 5.797 5.753 14.487
angles (deg): 90.00 96.93 90.00
Space group C2/m (No. 12)
Asymmetric unit:
Ce1 0.000 0.000 0.000 [2 per cell]
Ge1 0.081 0.500 0.253 [4 per cell]
Pd1 0.000 0.500 0.000 [2 per cell]
Pd2 0.123 0.500 0.424 [4 per cell]
Pd3 0.202 0.251 0.850 [8 per cell]
Pb1 0.113 0.000 0.386 [4 per cell]

The 10 most intense peaks (15 to 90 degrees two-theta), in order of rising 2θ:
2θ = 27.52°, 3.241 Å, rel. 270
2θ = 31.09°, 2.876 Å, rel. 709
2θ = 31.74°, 2.819 Å, rel. 495
2θ = 34.36°, 2.610 Å, rel. 553
2θ = 34.96°, 2.567 Å, rel. 683
2θ = 36.43°, 2.466 Å, rel. 734
2θ = 44.47°, 2.037 Å, rel. 1000
2θ = 44.55°, 2.034 Å, rel. 332
2θ = 49.53°, 1.840 Å, rel. 257
2θ = 75.81°, 1.255 Å, rel. 259

***

# 11
# CeGePd
Theoretical X-ray diffraction stick pattern, CuKα. Input: a structure optimized by DFT (GGA-PBE).

Cell and atoms:
a b c (Å): 4.4435 4.4435 3.6891
angles (deg): 90.00 90.00 120.00
Space group P-6m2 (No. 187)
Asymmetric unit:
Ce1 0.0000 0.0000 0.0000 [1 per cell]
Ge1 0.3333 0.6667 0.5000 [1 per cell]
Pd1 0.6667 0.3333 0.5000 [1 per cell]

The 10 most intense peaks (15 to 90 degrees two-theta), in order of rising 2θ:
2θ = 23.11°, 3.848 Å, rel. 73
2θ = 33.65°, 2.663 Å, rel. 1000
2θ = 40.61°, 2.222 Å, rel. 572
2θ = 49.41°, 1.845 Å, rel. 107
2θ = 53.73°, 1.706 Å, rel. 261
2θ = 65.80°, 1.419 Å, rel. 269
2θ = 69.46°, 1.353 Å, rel. 239
2θ = 73.88°, 1.283 Å, rel. 96
2θ = 82.32°, 1.171 Å, rel. 75
2θ = 87.89°, 1.111 Å, rel. 62

***

# 12
# Ce2GePd
Theoretical X-ray diffraction stick pattern, CuKα. Input: a structure optimized by DFT (GGA-PBE).

Cell and atoms:
a b c (Å): 6.258 8.083 7.036
angles (deg): 90.00 90.00 90.00
Space group Imma (No. 74)
Asymmetric unit:
Ce1 0.250 0.030 0.250 [8 per cell]
Ge1 0.000 0.250 0.544 [4 per cell]
Pd1 0.000 0.250 0.945 [4 per cell]

The 10 most intense peaks (15 to 90 degrees two-theta), in order of rising 2θ:
2θ = 33.78°, 2.654 Å, rel. 1000
2θ = 35.68°, 2.516 Å, rel. 227
2θ = 36.31°, 2.474 Å, rel. 975
2θ = 38.50°, 2.338 Å, rel. 768
2θ = 40.03°, 2.253 Å, rel. 155
2θ = 44.83°, 2.022 Å, rel. 276
2θ = 60.08°, 1.540 Å, rel. 205
2θ = 60.56°, 1.529 Å, rel. 270
2θ = 65.06°, 1.434 Å, rel. 177
2θ = 69.78°, 1.348 Å, rel. 240

***

What did the second record say?
# Ce4GeOs2
Theoretical X-ray diffraction stick pattern, CuKα. Input: a structure optimized by DFT (GGA-PBE).

Cell and atoms:
a b c (Å): 12.637 12.674 8.309
angles (deg): 90.00 90.00 90.00
Space group Fdd2 (No. 43)
Asymmetric unit:
Ce1 0.059 0.376 0.000 [16 per cell]
Ce2 0.124 0.059 0.142 [16 per cell]
Ge1 0.000 0.000 0.821 [8 per cell]
Os1 0.056 0.306 0.696 [16 per cell]

The 10 most intense peaks (15 to 90 degrees two-theta), in order of rising 2θ:
2θ = 31.62°, 2.830 Å, rel. 1000
2θ = 31.87°, 2.808 Å, rel. 923
2θ = 33.88°, 2.646 Å, rel. 653
2θ = 37.83°, 2.378 Å, rel. 582
2θ = 38.49°, 2.339 Å, rel. 378
2θ = 39.57°, 2.278 Å, rel. 496
2θ = 46.08°, 1.970 Å, rel. 194
2θ = 49.30°, 1.848 Å, rel. 265
2θ = 54.82°, 1.675 Å, rel. 267
2θ = 64.30°, 1.449 Å, rel. 186